No. 1
This entry pairs a crystal structure of CdI2 with its computed XRD peak list. Radiation: CuKα. Structure: DFT lattice parameters and positions (PBE).
Kinematic intensities with the Lorentz-polarization factor, no thermal factor.

Structural model:
Lattice parameters (Å, degrees): 22.170 22.170 22.170 11.21 11.21 11.21
Sites, in units of the cell vectors:
Cd1 0.000 0.000 0.000
Cd2 0.444 0.444 0.444
Cd3 0.556 0.556 0.556
I1 0.137 0.137 0.137
I2 0.248 0.248 0.248
I3 0.359 0.359 0.359
I4 0.641 0.641 0.641
I5 0.752 0.752 0.752
I6 0.863 0.863 0.863

Principal peaks in the range 2θ from 10° to 80°, by angle:
Position (°2θ), I (rel.)
12.1, 71
25.5, 16
26.1, 59
27.3, 100
30.4, 20
32.2, 47
36.2, 34
41.7, 71
43.0, 27
43.6, 18
50.6, 18
66.8, 31

=====

No. 2
This entry pairs a crystal structure of CdI2 with its computed XRD peak list. Radiation: CuKα. Structure: DFT lattice parameters and positions (PBE).
Kinematic intensities with the Lorentz-polarization factor, no thermal factor.

Structural model:
Lattice parameters (Å, degrees): 4.336 4.336 100.782 90.00 90.00 120.00
Sites, in units of the cell vectors:
Cd1 0.000 0.000 0.000
Cd2 0.000 0.000 0.077
Cd3 0.000 0.000 0.154
Cd4 0.000 0.000 0.231
Cd5 0.000 0.000 0.385
Cd6 0.000 0.000 0.692
Cd7 0.000 0.000 0.846
Cd8 0.667 0.333 0.308
Cd9 0.667 0.333 0.462
Cd10 0.667 0.333 0.538
Cd11 0.667 0.333 0.615
Cd12 0.667 0.333 0.769
Cd13 0.667 0.333 0.923
I1 0.000 0.000 0.325
I2 0.000 0.000 0.479
I3 0.000 0.000 0.555
I4 0.000 0.000 0.632
I5 0.000 0.000 0.786
I6 0.000 0.000 0.940
I7 0.333 0.667 0.060
I8 0.333 0.667 0.137
I9 0.333 0.667 0.214
I10 0.333 0.667 0.291
I11 0.333 0.667 0.368
I12 0.333 0.667 0.444
I13 0.333 0.667 0.521
I14 0.333 0.667 0.598
I15 0.333 0.667 0.675
I16 0.333 0.667 0.752
I17 0.333 0.667 0.829
I18 0.333 0.667 0.906
I19 0.333 0.667 0.983
I20 0.667 0.333 0.017
I21 0.667 0.333 0.094
I22 0.667 0.333 0.171
I23 0.667 0.333 0.248
I24 0.667 0.333 0.402
I25 0.667 0.333 0.709
I26 0.667 0.333 0.863

Principal peaks in the range 2θ from 10° to 80°, by angle:
Position (°2θ), I (rel.)
11.4, 79
26.4, 100
29.1, 14
29.7, 14
33.2, 27
41.7, 56
42.5, 26
43.3, 21
50.0, 17
64.5, 20
67.0, 14
75.4, 13

=====

No. 3
This entry pairs a crystal structure of CdI2 with its computed XRD peak list. Radiation: CuKα. Structure: DFT lattice parameters and positions (PBE).
Kinematic intensities with the Lorentz-polarization factor, no thermal factor.

Structural model:
Lattice parameters (Å, degrees): 4.342 4.342 103.158 90.00 90.00 120.00
Sites, in units of the cell vectors:
Cd1 0.000 0.000 0.000
Cd2 0.000 0.000 0.071
Cd3 0.000 0.000 0.214
Cd4 0.000 0.000 0.286
Cd5 0.000 0.000 0.429
Cd6 0.000 0.000 0.571
Cd7 0.000 0.000 0.714
Cd8 0.000 0.000 0.857
Cd9 0.333 0.667 0.143
Cd10 0.333 0.667 0.357
Cd11 0.333 0.667 0.500
Cd12 0.333 0.667 0.643
Cd13 0.333 0.667 0.786
Cd14 0.333 0.667 0.929
I1 0.000 0.000 0.126
I2 0.000 0.000 0.340
I3 0.000 0.000 0.483
I4 0.000 0.000 0.626
I5 0.000 0.000 0.769
I6 0.000 0.000 0.912
I7 0.333 0.667 0.055
I8 0.333 0.667 0.198
I9 0.333 0.667 0.269
I10 0.333 0.667 0.412
I11 0.333 0.667 0.555
I12 0.333 0.667 0.698
I13 0.333 0.667 0.840
I14 0.333 0.667 0.983
I15 0.667 0.333 0.017
I16 0.667 0.333 0.088
I17 0.667 0.333 0.160
I18 0.667 0.333 0.231
I19 0.667 0.333 0.302
I20 0.667 0.333 0.374
I21 0.667 0.333 0.445
I22 0.667 0.333 0.517
I23 0.667 0.333 0.588
I24 0.667 0.333 0.660
I25 0.667 0.333 0.731
I26 0.667 0.333 0.802
I27 0.667 0.333 0.874
I28 0.667 0.333 0.945

Principal peaks in the range 2θ from 10° to 80°, by angle:
Position (°2θ), I (rel.)
12.0, 54
26.6, 100
29.9, 22
30.5, 11
34.1, 22
38.8, 13
41.6, 52
43.5, 13
44.0, 26
50.1, 17
66.6, 23
67.1, 14